Diffraction record for Ti2Mn3Te3O16. The powder X-ray diffraction pattern is calculated, not measured: it uses the PBE+U geometry in the Materials Project and CuKα.
Neutral-atom scattering factors, no anomalous dispersion.

Atomic structure:
Unit cell a=11.2178 b=6.1656 c=9.3403 alpha=90.00 beta=93.84 gamma=90.00
Space group Cm (No. 8)
Inequivalent atoms, fractional coordinates:
Ti: 0.0000 0.0000 0.0000
Ti: 0.1843 0.5000 0.4543
Mn: 0.0397 0.5000 0.7615
Mn: 0.4371 0.2499 0.2708
Te: 0.1862 0.0000 0.2489
Te: 0.2873 0.2507 0.7478
O: 0.0368 0.5000 0.3798
O: 0.0480 0.0000 0.3622
O: 0.1027 0.2042 0.1127
O: 0.1440 0.2796 0.6271
O: 0.2189 0.0000 0.8539
O: 0.2253 0.5000 0.8656
O: 0.2574 0.2549 0.3640
O: 0.3389 0.0000 0.1664
O: 0.3456 0.5000 0.6256
O: 0.3573 0.0000 0.6407
O: 0.3860 0.5000 0.1168
O: 0.4398 0.2591 0.8584

Principal peaks in the range 2θ from 5° to 70°, by angle:
- 2θ = 15.8°, rel. 22.0, hkl 2 0 0
- 2θ = 17.9°, rel. 40.6, hkl 2 0 -1
- 2θ = 18.7°, rel. 40.3, hkl 1 1 -1
- 2θ = 19.0°, rel. 100.0, hkl 0 0 2
- 2θ = 32.8°, rel. 22.1, hkl 4 0 -1
- 2θ = 33.1°, rel. 29.2, hkl 2 2 0
- 2θ = 34.9°, rel. 49.2, hkl 2 2 1
- 2θ = 38.0°, rel. 22.8, hkl 2 2 -2
- 2θ = 43.7°, rel. 25.0, hkl 2 2 -3
- 2θ = 57.8°, rel. 24.6, hkl 6 2 0